No. 1
This entry pairs a crystal structure of Rb8Bi3S8 with its simulated powder diffraction line list. Radiation: CuKα. Structure: a structure optimized by DFT (PBE).
Neutral-atom scattering factors, no anomalous dispersion.

Atomic structure:
```
data_Rb8Bi3S8
_chemical_formula_sum 'Rb16 Bi6 S16'
_cell_length_a 24.8313
_cell_length_b 6.8446
_cell_length_c 9.9070
_cell_angle_alpha 90.00
_cell_angle_beta 106.46
_cell_angle_gamma 90.00
_symmetry_space_group_name_H-M 'C 1 2/m 1'
_symmetry_Int_Tables_number 12
_symmetry_space_group_name_Hall '-C 2y'
loop_
_atom_site_label
_atom_site_fract_x
_atom_site_fract_y
_atom_site_fract_z
Rb1 0.0366 0.0000 0.2463
Rb2 0.0879 0.5000 0.9614
Rb3 0.1727 0.5000 0.4840
Rb4 0.1942 0.0000 0.8076
Bi1 0.0000 0.5000 0.5000
Bi2 0.1906 0.0000 0.1965
S1 0.0385 0.5000 0.2758
S2 0.0980 0.0000 0.9840
S3 0.1800 0.0000 0.4509
S4 0.2079 0.5000 0.8393
```

Peak list (12 most intense, 2θ = 5–70°, most intense first)
(hkl)	2θ (°)	I/Imax
0 2 0	26.04	100.0
1 1 -1	15.77	78.1
1 1 2	23.95	65.1
6 0 0	22.46	54.0
3 1 0	17.11	51.1
6 0 1	26.65	47.4
6 2 -3	40.71	37.6
6 0 -3	30.73	34.3
5 1 -2	25.93	31.9
2 0 1	13.47	25.1
6 2 1	37.63	24.6
7 1 -1	28.41	22.3

---

No. 2
This entry pairs a crystal structure of RbBi5S8 with its simulated powder diffraction line list. Radiation: CuKα. Structure: a structure optimized by DFT (PBE).
Neutral-atom scattering factors, no anomalous dispersion.

Atomic structure:
```
data_RbBi5S8
_chemical_formula_sum 'Rb2 Bi10 S16'
_cell_length_a 21.0696
_cell_length_b 4.0832
_cell_length_c 10.0440
_cell_angle_alpha 90.00
_cell_angle_beta 104.62
_cell_angle_gamma 90.00
_symmetry_space_group_name_H-M 'C 1 m 1'
_symmetry_Int_Tables_number 8
_symmetry_space_group_name_Hall 'C -2y'
loop_
_atom_site_label
_atom_site_fract_x
_atom_site_fract_y
_atom_site_fract_z
Rb1 0.0000 0.0000 0.0000
Bi1 0.0004 0.5000 0.4987
Bi2 0.1551 0.0000 0.4508
Bi3 0.2049 0.0000 0.8381
Bi4 0.2960 0.5000 0.1594
Bi5 0.3458 0.5000 0.5467
S1 0.0787 0.0000 0.6474
S2 0.0789 0.5000 0.3032
S3 0.1682 0.5000 0.9889
S4 0.2296 0.5000 0.6446
S5 0.2714 0.0000 0.3527
S6 0.3327 0.0000 0.0085
S7 0.4220 0.0000 0.6942
S8 0.4222 0.5000 0.3498
```

Peak list (12 most intense, 2θ = 5–70°, most intense first)
(hkl)	2θ (°)	I/Imax
3 1 0	25.46	100.0
0 0 1	9.10	67.7
3 1 -3	35.22	59.4
9 1 -1	44.62	51.7
1 1 -2	28.18	50.7
3 1 -1	25.91	50.4
2 0 2	22.17	43.0
4 0 -1	17.48	39.5
2 0 0	8.67	35.5
3 1 3	40.31	35.5
2 0 -1	10.88	32.5
1 1 2	29.60	28.9

---

No. 3
This entry pairs a crystal structure of Rb2BiSbS4 with its simulated powder diffraction line list. Radiation: CuKα. Structure: a structure optimized by DFT (PBE).
Neutral-atom scattering factors, no anomalous dispersion.

Atomic structure:
```
data_Rb2BiSbS4
_chemical_formula_sum 'Rb4 Bi2 Sb2 S8'
_cell_length_a 7.6699
_cell_length_b 7.6699
_cell_length_c 10.1071
_cell_angle_alpha 90.00
_cell_angle_beta 90.00
_cell_angle_gamma 90.00
_symmetry_space_group_name_H-M 'I -4'
_symmetry_Int_Tables_number 82
_symmetry_space_group_name_Hall 'I -4'
loop_
_atom_site_label
_atom_site_fract_x
_atom_site_fract_y
_atom_site_fract_z
Rb1 0.0000 0.0000 0.0000
Rb2 0.0000 0.5000 0.2500
Bi1 0.0000 0.5000 0.7500
Sb1 0.0000 0.0000 0.5000
S1 0.1789 0.7516 0.6192
```

Peak list (12 most intense, 2θ = 5–70°, most intense first)
(hkl)	2θ (°)	I/Imax
1 1 2	24.07	100.0
3 1 2	41.29	46.3
2 0 0	23.19	30.5
2 0 4	42.86	29.6
2 2 0	33.03	28.6
1 0 1	14.50	26.5
2 4 4	65.81	13.2
1 5 2	64.65	12.1
1 3 6	67.72	10.8
3 3 2	53.86	10.5
2 2 4	49.29	9.7
4 2 0	53.42	9.6

---

No. 4
This entry pairs a crystal structure of RbSiBiS4 with its simulated powder diffraction line list. Radiation: CuKα. Structure: a structure optimized by DFT (PBE).
Neutral-atom scattering factors, no anomalous dispersion.

Atomic structure:
```
data_RbSiBiS4
_chemical_formula_sum 'Rb4 Si4 Bi4 S16'
_cell_length_a 6.5956
_cell_length_b 6.8503
_cell_length_c 18.1617
_cell_angle_alpha 90.00
_cell_angle_beta 107.31
_cell_angle_gamma 90.00
_symmetry_space_group_name_H-M 'P 1 21/c 1'
_symmetry_Int_Tables_number 14
_symmetry_space_group_name_Hall '-P 2ybc'
loop_
_atom_site_label
_atom_site_fract_x
_atom_site_fract_y
_atom_site_fract_z
Rb1 0.2206 0.2503 0.4659
Si1 0.2899 0.7319 0.3381
Bi1 0.2618 0.1988 0.7234
S1 0.0870 0.7497 0.4096
S2 0.0960 0.6810 0.2209
S3 0.4819 0.5107 0.8512
S4 0.4883 0.5017 0.6376
```

Peak list (12 most intense, 2θ = 5–70°, most intense first)
(hkl)	2θ (°)	I/Imax
0 0 2	10.20	100.0
1 1 0	19.14	85.3
1 0 4	28.29	42.4
1 1 4	31.18	42.3
2 0 -4	29.70	42.1
3 1 0	45.17	40.0
2 2 0	38.84	34.7
1 1 -4	24.86	33.2
0 2 0	26.01	33.1
0 1 4	24.30	29.1
2 1 -4	32.51	28.0
0 2 4	33.34	24.2

---

No. 5
This entry pairs a crystal structure of Rb3SnBi3S8 with its simulated powder diffraction line list. Radiation: CuKα. Structure: a structure optimized by DFT (PBE).
Neutral-atom scattering factors, no anomalous dispersion.

Atomic structure:
```
data_Rb3SnBi3S8
_chemical_formula_sum 'Rb9 Sn3 Bi9 S24'
_cell_length_a 8.1641
_cell_length_b 8.1641
_cell_length_c 23.7860
_cell_angle_alpha 90.00
_cell_angle_beta 90.00
_cell_angle_gamma 120.00
_symmetry_space_group_name_H-M 'R -3 m'
_symmetry_Int_Tables_number 166
_symmetry_space_group_name_Hall '-R 3 2"'
loop_
_atom_site_label
_atom_site_fract_x
_atom_site_fract_y
_atom_site_fract_z
Rb1 0.0000 0.5000 0.0000
Sn1 0.0000 0.0000 0.5000
Bi1 0.0000 0.5000 0.5000
S1 0.0000 0.0000 0.2337
S2 0.0264 0.5132 0.2291
```

Peak list (12 most intense, 2θ = 5–70°, most intense first)
(hkl)	2θ (°)	I/Imax
0 2 4	29.39	100.0
0 0 3	11.16	67.1
2 0 2	26.30	46.9
2 0 8	39.61	38.4
2 2 0	44.38	32.9
0 2 10	45.96	29.5
0 0 6	22.43	26.5
2 2 6	50.28	20.8
0 2 1	25.47	18.1
4 0 4	54.13	17.3
0 2 7	36.68	16.8
2 2 12	65.66	14.3

---

No. 6
This entry pairs a crystal structure of Rb3TaBi3S8 with its simulated powder diffraction line list. Radiation: CuKα. Structure: a structure optimized by DFT (PBE).
Neutral-atom scattering factors, no anomalous dispersion.

Atomic structure:
```
data_Rb3TaBi3S8
_chemical_formula_sum 'Rb3 Ta1 Bi3 S8'
_cell_length_a 8.1482
_cell_length_b 8.1584
_cell_length_c 9.1007
_cell_angle_alpha 63.53
_cell_angle_beta 63.50
_cell_angle_gamma 60.19
_symmetry_space_group_name_H-M 'P -1'
_symmetry_Int_Tables_number 2
_symmetry_space_group_name_Hall '-P 1'
loop_
_atom_site_label
_atom_site_fract_x
_atom_site_fract_y
_atom_site_fract_z
Rb1 0.0000 0.0000 0.0000
Rb2 0.0000 0.5000 0.0000
Rb3 0.5000 0.0000 0.0000
Ta1 0.0000 0.0000 0.5000
Bi1 0.0000 0.5000 0.5000
Bi2 0.5000 0.0000 0.5000
Bi3 0.5000 0.5000 0.5000
S1 0.2084 0.2082 0.3211
S2 0.2084 0.7620 0.3213
S3 0.2376 0.7919 0.6787
S4 0.2658 0.2659 0.7023
```

Peak list (12 most intense, 2θ = 5–70°, most intense first)
(hkl)	2θ (°)	I/Imax
2 2 0	29.53	100.0
0 0 1	11.35	76.0
2 0 0	26.32	34.6
0 0 2	22.81	29.0
2 2 4	40.05	24.8
0 0 4	46.56	24.5
4 2 2	44.45	22.1
2 2 1	25.49	21.5
2 0 3	37.02	19.1
4 4 0	61.31	17.3
2 2 2	26.40	17.2
0 2 -2	39.96	12.7

---

Please write out number 5 again, unchanged.
This entry pairs a crystal structure of Rb3SnBi3S8 with its simulated powder diffraction line list. Radiation: CuKα. Structure: a structure optimized by DFT (PBE).
Neutral-atom scattering factors, no anomalous dispersion.

Atomic structure:
```
data_Rb3SnBi3S8
_chemical_formula_sum 'Rb9 Sn3 Bi9 S24'
_cell_length_a 8.1641
_cell_length_b 8.1641
_cell_length_c 23.7860
_cell_angle_alpha 90.00
_cell_angle_beta 90.00
_cell_angle_gamma 120.00
_symmetry_space_group_name_H-M 'R -3 m'
_symmetry_Int_Tables_number 166
_symmetry_space_group_name_Hall '-R 3 2"'
loop_
_atom_site_label
_atom_site_fract_x
_atom_site_fract_y
_atom_site_fract_z
Rb1 0.0000 0.5000 0.0000
Sn1 0.0000 0.0000 0.5000
Bi1 0.0000 0.5000 0.5000
S1 0.0000 0.0000 0.2337
S2 0.0264 0.5132 0.2291
```

Peak list (12 most intense, 2θ = 5–70°, most intense first)
(hkl)	2θ (°)	I/Imax
0 2 4	29.39	100.0
0 0 3	11.16	67.1
2 0 2	26.30	46.9
2 0 8	39.61	38.4
2 2 0	44.38	32.9
0 2 10	45.96	29.5
0 0 6	22.43	26.5
2 2 6	50.28	20.8
0 2 1	25.47	18.1
4 0 4	54.13	17.3
0 2 7	36.68	16.8
2 2 12	65.66	14.3

---

- Number 4 is which compound?
  RbSiBiS4